Structure and computed powder X-ray diffraction pattern of Nd2GdTa2N6 (a crystal structure in OQMD, relaxed with PBE; Cu Kα X-rays).
Lines closer than 0.1° are merged.

The 8 most intense peaks (10° ≤ 2θ ≤ 90°), in order of rising 2θ:
| index | 2θ/deg | d/Å | I_rel |
| --- | --- | --- | --- |
| 1 1 0 | 31.42 | 2.847 | 61 |
| 1 0 5 | 31.96 | 2.800 | 100 |
| 1 0 7 | 39.35 | 2.290 | 10 |
| 2 0 0 | 45.03 | 2.013 | 29 |
| 2 1 5 | 56.28 | 1.635 | 41 |
| 1 1 10 | 57.29 | 1.608 | 13 |
| 2 2 0 | 65.58 | 1.423 | 9 |
| 3 1 0 | 74.53 | 1.273 | 11 |

Cell and atoms:
Cell: 4.026 4.026 19.488 Å, 90.00 90.00 90.00°
Space group I4/mmm (No. 139)
Unique sites:
Nd 0.000 0.000 0.179 (multiplicity 4)
Gd 0.000 0.000 0.000 (multiplicity 2)
Ta 0.000 0.000 0.402 (multiplicity 4)
N 0.000 0.000 0.301 (multiplicity 4)
N 0.000 0.500 0.081 (multiplicity 8)